Theoretical powder XRD pattern of YNb2GePb for copper Kα, from a PBE-relaxed structure.
Intensities are scaled so that the largest is 100.

Atomic structure:
Lattice parameters (Å, degrees): 5.240 5.240 5.301 90.00 90.00 90.00
Space group P4/mmm (No. 123)
Symmetry-distinct sites (fractional):
1 Y 0.000 0.000 0.000 x1
2 Nb 0.000 0.500 0.500 x2
3 Ge 0.500 0.500 0.000 x1
4 Pb 0.500 0.500 0.500 x1

Principal peaks in the range 2θ from 5° to 70°, by intensity:
2theta, I_rel, (hkl)
34.22, 100.0, 2 0 0
23.88, 75.8, 1 0 1
48.88, 72.7, 2 0 2
16.92, 60.1, 1 0 0
33.82, 51.6, 0 0 2
16.72, 47.2, 0 0 1

Theoretical powder XRD pattern of Pm2NbGe3 for copper Kα, from a PBE-relaxed structure.
Intensities are scaled so that the largest is 100.

Atomic structure:
Lattice parameters (Å, degrees): 3.987 5.738 12.322 90.00 90.00 90.00
Space group Immm (No. 71)
Symmetry-distinct sites (fractional):
1 Pm 0.000 0.000 0.172 x4
2 Nb 0.000 0.000 0.500 x2
3 Ge 0.000 0.500 0.146 x4
4 Ge 0.000 0.500 0.500 x2

Principal peaks in the range 2θ from 5° to 70°, by intensity:
2theta, I_rel, (hkl)
31.23, 100.0, 0 2 0
44.74, 48.4, 1 2 3
56.18, 12.8, 2 2 0
45.50, 12.0, 2 0 0
54.99, 11.5, 0 2 6
44.10, 11.1, 0 0 6

Theoretical powder XRD pattern of Pm4NbGe5 for copper Kα, from a PBE-relaxed structure.
Intensities are scaled so that the largest is 100.

Atomic structure:
Lattice parameters (Å, degrees): 9.230 9.230 5.850 90.00 90.00 90.00
Space group I4/m (No. 87)
Symmetry-distinct sites (fractional):
1 Pm 0.092 0.699 0.000 x8
2 Nb 0.000 0.000 0.500 x2
3 Ge 0.000 0.000 0.000 x2
4 Ge 0.093 0.723 0.500 x8

Principal peaks in the range 2θ from 5° to 70°, by intensity:
2theta, I_rel, (hkl)
30.61, 100.0, 0 0 2
43.83, 72.4, 3 1 2
54.41, 24.5, 2 4 2
26.43, 17.8, 1 2 1
51.92, 9.4, 5 0 1
63.78, 7.0, 6 2 0

Theoretical powder XRD pattern of PmTaNbGe2 for copper Kα, from a PBE-relaxed structure.
Intensities are scaled so that the largest is 100.

Atomic structure:
Lattice parameters (Å, degrees): 4.078 4.078 12.163 90.00 90.00 90.00
Space group I-4m2 (No. 119)
Symmetry-distinct sites (fractional):
1 Pm 0.000 0.000 0.000 x2
2 Ta 0.000 0.500 0.750 x2
3 Nb 0.000 0.500 0.250 x2
4 Ge 0.000 0.000 0.396 x4

Principal peaks in the range 2θ from 5° to 70°, by intensity:
2theta, I_rel, (hkl)
34.42, 100.0, 1 1 2
43.28, 40.4, 1 0 5
44.43, 37.9, 2 0 0
31.11, 30.5, 1 0 3
29.37, 15.1, 0 0 4
63.78, 14.9, 2 1 5

Theoretical powder XRD pattern of Pr2Nb3Ge4 for copper Kα, from a PBE-relaxed structure.
Intensities are scaled so that the largest is 100.

Atomic structure:
Lattice parameters (Å, degrees): 7.311 7.309 7.196 90.00 109.26 90.00
Space group P2_1/c (No. 14)
Symmetry-distinct sites (fractional):
1 Pr 0.186 0.169 0.059 x4
2 Nb 0.259 0.671 0.248 x4
3 Nb 0.500 0.000 0.500 x2
4 Ge 0.091 0.544 0.866 x4
5 Ge 0.497 0.131 0.867 x4

Principal peaks in the range 2θ from 5° to 70°, by intensity:
2theta, I_rel, (hkl)
35.03, 100.0, 2 2 -1
35.28, 97.4, 1 1 2
39.54, 53.1, 1 1 -3
39.29, 45.3, 0 3 1
32.48, 31.9, 1 2 1
32.67, 30.5, 2 1 -2

Theoretical powder XRD pattern of Tb2NbGe4Pt3 for copper Kα, from a PBE-relaxed structure.
Intensities are scaled so that the largest is 100.

Atomic structure:
Lattice parameters (Å, degrees): 4.205 4.205 10.903 90.00 90.00 90.00
Space group P-4m2 (No. 115)
Symmetry-distinct sites (fractional):
1 Tb 0.000 0.500 0.243 x2
2 Nb 0.000 0.000 0.500 x1
3 Ge 0.000 0.000 0.000 x1
4 Ge 0.000 0.500 0.643 x2
5 Ge 0.500 0.500 0.000 x1
6 Pt 0.000 0.500 0.869 x2
7 Pt 0.500 0.500 0.500 x1

Principal peaks in the range 2θ from 5° to 70°, by intensity:
2theta, I_rel, (hkl)
34.35, 100.0, 1 1 2
43.02, 66.7, 2 0 0
32.56, 66.7, 1 0 3
46.94, 38.3, 1 0 5
54.99, 35.4, 2 1 3
45.12, 28.9, 1 1 4

Theoretical powder XRD pattern of Nb5ReGe5 for copper Kα, from a PBE-relaxed structure.
Intensities are scaled so that the largest is 100.

Atomic structure:
Lattice parameters (Å, degrees): 11.853 4.988 6.963 90.00 107.42 90.00
Space group C2/m (No. 12)
Symmetry-distinct sites (fractional):
1 Nb 0.000 0.000 0.000 x2
2 Nb 0.105 0.500 0.223 x4
3 Nb 0.154 0.500 0.861 x4
4 Re 0.000 0.000 0.500 x2
5 Ge 0.000 0.500 0.500 x2
6 Ge 0.177 0.000 0.798 x4
7 Ge 0.194 0.000 0.394 x4

Principal peaks in the range 2θ from 5° to 70°, by intensity:
2theta, I_rel, (hkl)
36.01, 100.0, 0 2 0
34.98, 92.7, 4 0 -2
51.08, 62.2, 4 2 -2
35.18, 55.1, 2 0 2
43.95, 41.6, 5 1 0
35.29, 34.8, 1 1 2

Theoretical powder XRD pattern of Nb2GeRh6 for copper Kα, from a PBE-relaxed structure.
Intensities are scaled so that the largest is 100.

Atomic structure:
Lattice parameters (Å, degrees): 4.109 6.057 12.497 90.00 90.00 90.00
Space group Immm (No. 71)
Symmetry-distinct sites (fractional):
1 Nb 0.000 0.000 0.162 x4
2 Ge 0.000 0.000 0.500 x2
3 Rh 0.000 0.241 0.336 x8
4 Rh 0.000 0.262 0.000 x4

Principal peaks in the range 2θ from 5° to 70°, by intensity:
2theta, I_rel, (hkl)
42.99, 100.0, 1 2 3
43.45, 24.3, 0 0 6
44.08, 23.6, 2 0 0
30.56, 21.9, 1 0 3
26.21, 18.4, 1 1 0
25.96, 16.4, 0 1 3

Theoretical powder XRD pattern of NbGeRh3 for copper Kα, from a PBE-relaxed structure.
Intensities are scaled so that the largest is 100.

Atomic structure:
Lattice parameters (Å, degrees): 7.452 5.173 8.613 90.00 113.08 90.00
Space group P2_1/c (No. 14)
Symmetry-distinct sites (fractional):
1 Nb 0.224 0.158 0.028 x4
2 Ge 0.359 0.678 0.864 x4
3 Rh 0.050 0.060 0.237 x4
4 Rh 0.161 0.657 0.061 x4
5 Rh 0.439 0.158 0.836 x4

Principal peaks in the range 2θ from 5° to 70°, by intensity:
2theta, I_rel, (hkl)
40.99, 100.0, 2 0 2
40.46, 88.9, 1 2 1
42.24, 37.1, 1 0 -4
36.91, 29.9, 3 0 -2
38.10, 27.8, 2 1 -3
49.18, 26.7, 2 2 -3

Theoretical powder XRD pattern of Nb2Ge2Ru3 for copper Kα, from a PBE-relaxed structure.
Intensities are scaled so that the largest is 100.

Atomic structure:
Lattice parameters (Å, degrees): 4.277 4.278 7.657 73.86 73.81 60.03
Space group P-1 (No. 2)
Symmetry-distinct sites (fractional):
1 Nb 0.126 0.126 0.122 x2
2 Ge 0.384 0.385 0.346 x2
3 Ru 0.000 0.000 0.500 x1
4 Ru 0.251 0.251 0.747 x2

Principal peaks in the range 2θ from 5° to 70°, by intensity:
2theta, I_rel, (hkl)
41.18, 100.0, 1 0 3
42.25, 98.2, 2 1 1
60.48, 31.4, 2 0 -2
24.37, 15.9, 1 1 1
37.79, 12.6, 0 1 -2
24.56, 7.6, 0 0 2

Theoretical powder XRD pattern of Sc2Nb3Ge4 for copper Kα, from a PBE-relaxed structure.
Intensities are scaled so that the largest is 100.

Atomic structure:
Lattice parameters (Å, degrees): 7.048 7.056 6.877 90.00 109.62 90.00
Space group P2_1/c (No. 14)
Symmetry-distinct sites (fractional):
1 Sc 0.185 0.172 0.056 x4
2 Nb 0.253 0.679 0.245 x4
3 Nb 0.500 0.000 0.500 x2
4 Ge 0.081 0.530 0.850 x4
5 Ge 0.481 0.133 0.864 x4

Principal peaks in the range 2θ from 5° to 70°, by intensity:
2theta, I_rel, (hkl)
36.99, 100.0, 1 1 2
41.42, 96.3, 1 1 -3
36.35, 90.0, 2 2 -1
37.19, 64.0, 2 2 0
40.82, 54.7, 0 3 1
43.00, 53.5, 2 2 1

Theoretical powder XRD pattern of Nb3SnGe for copper Kα, from a PBE-relaxed structure.
Intensities are scaled so that the largest is 100.

Atomic structure:
Lattice parameters (Å, degrees): 14.489 5.243 9.981 90.00 99.52 90.00
Space group C2/c (No. 15)
Symmetry-distinct sites (fractional):
1 Nb 0.060 0.243 0.024 x8
2 Nb 0.093 0.492 0.774 x8
3 Nb 0.200 0.030 0.277 x8
4 Sn 0.145 0.253 0.529 x8
5 Ge 0.000 0.002 0.250 x4
6 Ge 0.250 0.250 0.000 x4

Principal peaks in the range 2θ from 5° to 70°, by intensity:
2theta, I_rel, (hkl)
38.92, 100.0, 0 2 2
36.53, 57.9, 0 0 4
38.28, 36.7, 5 1 1
35.62, 31.3, 5 1 -1
35.78, 30.7, 5 1 0
42.02, 27.8, 5 1 -3